1.
Calculated X-ray diffraction stick pattern
Compound: Sr3Zr3N5
Radiation: λ = 1.5418 Å (Cu Kα)
Structure: a PBE-relaxed structure
Peak positions follow from Bragg's law for the DFT cell and can differ from measured ones.

Structural model:
```
Sr3Zr3N5
1.0
6.0812 0.0000 0.0000
-1.8926 8.1854 0.0000
-1.8418 -3.6622 8.1561
Sr Zr N
6 6 10
Cartesian
-0.4227 1.0282 3.2806
-0.3444 -1.2427 6.1182
-0.4645 7.3409 0.7914
2.8113 -2.8176 7.3648
2.6912 5.7659 2.0380
2.7695 3.4951 4.8756
-0.1307 3.4725 1.1244
-0.1521 4.8617 4.0095
-0.2900 2.2667 6.5203
2.6368 2.2566 1.6358
2.4989 -0.3385 4.1466
2.4775 1.0507 7.0317
-1.5793 1.3769 7.9524
0.8611 1.7133 0.4808
0.8359 -1.4914 3.3902
-0.9575 4.1594 5.8523
1.2798 3.5935 2.7855
1.0670 0.9298 5.3707
3.3043 0.3639 2.3038
1.5109 6.0147 4.7659
1.4857 2.8099 7.6754
3.9261 3.1464 0.2038
```

Principal peaks in the range 2θ from 15° to 90°, most intense first:
d_spacing	two_theta	Rel. int.
2.971	30.1	100
2.966	30.1	75
2.808	31.9	70
2.948	30.3	51
2.720	32.9	44
3.263	27.3	40
1.763	51.9	36
3.079	29.0	33



2.
Calculated X-ray diffraction stick pattern
Compound: Sr5Zr2N6
Radiation: λ = 1.5418 Å (Cu Kα)
Structure: a PBE-relaxed structure
Peak positions follow from Bragg's law for the DFT cell and can differ from measured ones.

Structural model:
```
Sr5Zr2N6
1.0
5.6154 -3.5865 0.0000
5.6154 3.5865 0.0000
-3.4580 0.0000 13.4427
Sr Zr N
10 4 12
Cartesian
3.0219 2.4928 10.0820
2.9060 1.1001 3.7224
1.9366 1.8220 13.2921
4.1072 1.8220 6.8720
1.1770 -1.1001 10.4438
6.5958 1.1001 2.9989
3.6656 -1.8220 6.5707
5.8362 -1.8220 0.1506
4.8668 -1.1001 9.7203
4.7509 -2.4928 3.3607
1.1199 0.5623 7.5976
2.8489 -0.5623 0.8763
4.9239 0.5623 12.5665
6.6529 -0.5623 5.8451
0.9073 0.9672 5.5150
1.1151 0.0199 1.9010
-0.6139 -0.0199 8.6223
-0.8217 -0.9672 12.2363
4.6577 0.1383 1.6084
2.9287 -0.1383 8.3297
4.8441 0.1383 5.1130
3.1151 -0.1383 11.8343
8.5945 0.9672 1.2064
8.3867 0.0199 4.8204
6.6577 -0.0199 11.5418
6.8655 -0.9672 7.9277
```

Principal peaks in the range 2θ from 15° to 90°, most intense first:
d_spacing	two_theta	Rel. int.
2.997	29.8	100
2.953	30.3	53
2.800	32.0	50
3.363	26.5	42
2.772	32.3	35
3.465	25.7	32
2.886	31.0	31
5.772	15.4	29



3.
Calculated X-ray diffraction stick pattern
Compound: Ta4N3
Radiation: λ = 1.5418 Å (Cu Kα)
Structure: a PBE-relaxed structure
Peak positions follow from Bragg's law for the DFT cell and can differ from measured ones.

Structural model:
```
Ta4N3
1.0
4.4064 0.0000 0.0000
0.0000 4.4064 0.0000
0.0000 0.0000 8.6212
Ta N
8 6
Cartesian
0.0000 0.0000 2.0362
0.0000 0.0000 6.5851
0.0000 2.2032 0.0000
0.0000 2.2032 4.3106
2.2032 0.0000 0.0000
2.2032 0.0000 4.3106
2.2032 2.2032 2.2745
2.2032 2.2032 6.3468
0.0000 0.0000 4.3106
0.0000 2.2032 2.1553
0.0000 2.2032 6.4659
2.2032 0.0000 2.1553
2.2032 0.0000 6.4659
2.2032 2.2032 0.0000
```

Principal peaks in the range 2θ from 15° to 90°, most intense first:
d_spacing	two_theta	Rel. int.
2.525	35.6	100
2.203	41.0	43
1.326	71.1	28
1.541	60.0	26
2.155	41.9	19
1.558	59.3	14
1.263	75.3	13
1.305	72.4	12